Structure and calculated PXRD pattern of Pm5Co3Sn3 (DFT lattice parameters and positions (PBE); Cu Ka).
Intensities are scaled so that the largest is 100.

Principal peaks in the range 10 to 80 degrees two-theta, by intensity:
2θ/deg	Rel. int.	hkl
31.7	100.0	2 1 0
30.5	83.1	2 0 1
28.0	78.0	1 1 1
36.0	67.4	3 0 0
18.7	59.2	0 0 1
50.3	55.2	2 1 2

Structure:
```
data_Pm5Co3Sn3
_cell_length_a 8.6334
_cell_length_b 8.6334
_cell_length_c 4.7328
_cell_angle_alpha 90.00
_cell_angle_beta 90.00
_cell_angle_gamma 120.00
_symmetry_space_group_name_H-M 'P -6 2 m'
_symmetry_Int_Tables_number 189
_symmetry_space_group_name_Hall 'P -6 -2'
loop_
_atom_site_label
_atom_site_fract_x
_atom_site_fract_y
_atom_site_fract_z
Pm1 0.0000 0.7516 0.0000
Pm2 0.3333 0.6667 0.0000
Co1 0.0000 0.3400 0.0000
Sn1 0.0000 0.4054 0.5000
```